Starting from a crystal structure in Alexandria, relaxed with PBE+U, the X-ray diffraction stick pattern of PuNiAg2O4 was simulated for a wavelength of 1.5418 Å.

The 10 most intense peaks (10 to 90 degrees two-theta), sorted by position:
| h k l | 2theta | Rel. int. |
| --- | --- | --- |
| 1 1 0 | 19.33 | 47 |
| 2 1 0 | 28.92 | 19 |
| 0 0 2 | 30.05 | 67 |
| 2 1 1 | 32.68 | 100 |
| 0 2 1 | 33.67 | 25 |
| 1 1 2 | 35.98 | 21 |
| 0 2 2 | 43.01 | 17 |
| 2 1 3 | 55.06 | 32 |
| 4 0 2 | 59.94 | 17 |
| 2 3 2 | 61.81 | 17 |

Cell lengths 7.222, 5.953, 5.944 Å; angles 90.00, 90.00, 90.00 degrees
Space group Pmn2_1 (No. 31)
Unique sites:
1 Pu 0.000 0.198 0.000 (multiplicity 2)
2 Ni 0.000 0.840 0.528 (multiplicity 2)
3 Ag 0.237 0.312 0.531 (multiplicity 4)
4 O 0.000 0.115 0.342 (multiplicity 2)
5 O 0.000 0.873 0.863 (multiplicity 2)
6 O 0.227 0.693 0.423 (multiplicity 4)